# 1
# Cu5Se2Cl2O8
Computed X-ray diffraction stick pattern, Cu Kα (λ = 1.5418 Å). Input: a PBE-relaxed structure.
No peak broadening, texture or thermal motion is included.

Structure:
Cell: 6.150 13.909 5.693 Å, 90.00 95.06 90.00°
Atoms (fractional coordinates):
Cu: 0.000 0.000 0.000
Cu: 0.000 0.500 0.500
Cu: 0.064 0.188 0.444
Cu: 0.064 0.312 0.944
Cu: 0.242 0.503 0.010
Cu: 0.242 0.997 0.510
Cu: 0.758 0.003 0.490
Cu: 0.758 0.497 0.990
Cu: 0.936 0.688 0.056
Cu: 0.936 0.812 0.556
Se: 0.433 0.134 0.100
Se: 0.433 0.366 0.600
Se: 0.567 0.634 0.400
Se: 0.567 0.866 0.900
Cl: 0.172 0.676 0.773
Cl: 0.172 0.824 0.273
Cl: 0.828 0.176 0.727
Cl: 0.828 0.324 0.227
O: 0.005 0.558 0.181
O: 0.005 0.942 0.681
O: 0.249 0.222 0.184
O: 0.249 0.278 0.684
O: 0.271 0.055 0.929
O: 0.271 0.445 0.429
O: 0.474 0.073 0.370
O: 0.474 0.427 0.870
O: 0.526 0.573 0.130
O: 0.526 0.927 0.630
O: 0.729 0.555 0.571
O: 0.729 0.945 0.071
O: 0.751 0.722 0.316
O: 0.751 0.778 0.816
O: 0.995 0.058 0.319
O: 0.995 0.442 0.819

Principal peaks in the range 10° ≤ 2θ ≤ 90°, sorted by position:
Position (°2θ)  I/Imax
15.8  15
20.2  15
24.1  14
29.5  100
31.6  13
34.3  20
34.5  28
35.1  14
36.0  15
38.8  12

***

# 2
# Er2Pb
Computed X-ray diffraction stick pattern, Cu Kα (λ = 1.5418 Å). Input: a PBE-relaxed structure.
No peak broadening, texture or thermal motion is included.

Structure:
Cell: 4.523 4.550 8.455 Å, 90.00 90.00 90.00°
Atoms (fractional coordinates):
Er: 0.250 0.250 0.000
Er: 0.250 0.750 0.340
Er: 0.750 0.250 0.660
Er: 0.750 0.750 0.000
Pb: 0.250 0.750 0.715
Pb: 0.750 0.250 0.285

Principal peaks in the range 10° ≤ 2θ ≤ 90°, sorted by position:
Position (°2θ)  I/Imax
27.8  21
29.8  77
31.8  38
35.1  100
39.6  29
39.9  29
51.6  20
51.8  23
57.5  20
67.2  18

***

# 3
# Rb3PS4
Computed X-ray diffraction stick pattern, Cu Kα (λ = 1.5418 Å). Input: a PBE-relaxed structure.
No peak broadening, texture or thermal motion is included.

Structure:
Cell: 9.443 11.159 9.525 Å, 90.00 90.00 90.00°
Atoms (fractional coordinates):
Rb: 0.046 0.043 0.205
Rb: 0.046 0.457 0.205
Rb: 0.148 0.750 0.417
Rb: 0.352 0.250 0.917
Rb: 0.454 0.543 0.705
Rb: 0.454 0.957 0.705
Rb: 0.546 0.043 0.295
Rb: 0.546 0.457 0.295
Rb: 0.648 0.750 0.083
Rb: 0.852 0.250 0.583
Rb: 0.954 0.543 0.795
Rb: 0.954 0.957 0.795
P: 0.224 0.750 0.982
P: 0.276 0.250 0.482
P: 0.724 0.750 0.518
P: 0.776 0.250 0.018
S: 0.025 0.750 0.073
S: 0.169 0.097 0.542
S: 0.169 0.403 0.542
S: 0.205 0.750 0.766
S: 0.295 0.250 0.266
S: 0.331 0.597 0.042
S: 0.331 0.903 0.042
S: 0.475 0.250 0.573
S: 0.525 0.750 0.427
S: 0.669 0.097 0.958
S: 0.669 0.403 0.958
S: 0.705 0.750 0.734
S: 0.795 0.250 0.234
S: 0.831 0.597 0.458
S: 0.831 0.903 0.458
S: 0.975 0.250 0.927

Principal peaks in the range 10° ≤ 2θ ≤ 90°, sorted by position:
Position (°2θ)  I/Imax
24.6  81
24.7  76
26.4  62
26.6  52
29.2  75
29.9  55
30.6  100
31.1  46
32.0  71
37.8  61

***

# 4
# TbU2Se4
Computed X-ray diffraction stick pattern, Cu Kα (λ = 1.5418 Å). Input: a PBE-relaxed structure.
No peak broadening, texture or thermal motion is included.

Structure:
Cell: 8.106 8.106 8.106 Å, 119.91 119.52 90.49°
Atoms (fractional coordinates):
Tb: 0.500 0.000 0.000
Tb: 0.500 0.500 0.500
U: 0.000 0.000 0.000
U: 0.000 0.000 0.500
U: 0.000 0.500 0.000
U: 0.500 0.000 0.500
Se: 0.243 0.742 0.501
Se: 0.250 0.252 0.502
Se: 0.250 0.748 0.998
Se: 0.258 0.258 0.001
Se: 0.742 0.742 0.999
Se: 0.750 0.252 0.002
Se: 0.750 0.748 0.498
Se: 0.757 0.258 0.499

Principal peaks in the range 10° ≤ 2θ ≤ 90°, sorted by position:
Position (°2θ)  I/Imax
13.4  42
25.6  20
31.1  100
31.3  49
34.1  17
44.4  19
44.7  92
55.3  20
55.6  19
73.8  26

***

Number 1 is which compound? Cu5Se2Cl2O8